For Na5Mn11O24, a structure optimized by DFT (GGA+U) gives the computed XRD peak list in this record (a wavelength of 1.5418 Å).
Kinematic intensities with the Lorentz-polarization factor, no thermal factor.

Largest 10 diffraction maxima, low angle first, 2θ from 15° to 90°:
2θ (°)  I/Imax
16.96  100
18.13  82
28.61  14
33.45  25
34.70  60
35.32  42
41.97  82
54.26  24
59.29  19
62.43  24

Cell: 6.2500 6.2500 14.7260 Å, 92.43 92.43 56.75°
Atoms (fractional coordinates):
Na 0.0000 0.0000 0.0000
Na 0.0125 0.0125 0.7586
Na 0.3393 0.3393 0.4273
Na 0.3640 0.3640 0.6804
Na 0.6484 0.6484 0.0805
Mn 0.0059 0.0059 0.3773
Mn 0.0061 0.5060 0.8795
Mn 0.1579 0.6592 0.2159
Mn 0.1610 0.1610 0.2177
Mn 0.3183 0.3183 0.0482
Mn 0.3549 0.8522 0.5418
Mn 0.5060 0.0061 0.8795
Mn 0.6592 0.1579 0.2159
Mn 0.6941 0.6941 0.7105
Mn 0.8510 0.8510 0.5405
Mn 0.8522 0.3549 0.5418
O 0.0378 0.4681 0.1442
O 0.0406 0.0406 0.6102
O 0.1439 0.6019 0.9787
O 0.1499 0.1499 0.4626
O 0.1628 0.7347 0.4692
O 0.1847 0.1847 0.9511
O 0.2790 0.8466 0.2904
O 0.3302 0.3302 0.8245
O 0.3478 0.3478 0.2831
O 0.4108 0.8685 0.7791
O 0.4590 0.4590 0.1376
O 0.4681 0.0378 0.1442
O 0.5424 0.9767 0.6118
O 0.5529 0.5529 0.6198
O 0.6019 0.1439 0.9787
O 0.6613 0.6613 0.4720
O 0.6823 0.6823 0.9346
O 0.7347 0.1628 0.4692
O 0.8272 0.8272 0.8068
O 0.8466 0.2790 0.2904
O 0.8609 0.8609 0.2962
O 0.8685 0.4108 0.7791
O 0.9716 0.9716 0.1482
O 0.9767 0.5424 0.6118